For BaNp2NO5, a crystal structure in Alexandria, relaxed with PBE gives the calculated powder XRD pattern in this record (λ = 1.5418 Å (Cu Kα)).

Most intense lines, 2θ = 10–90°, by angle:
two_theta, intensity
20.71, 505
21.05, 242
23.26, 155
29.45, 507
29.70, 1000
42.13, 297
42.85, 131
52.39, 432
52.85, 202
61.66, 174

```
data_BaNp2NO5
_chemical_formula_sum 'Ba1 Np2 N1 O5'
_space_group_name_H-M_alt 'P 4/m m m'
_space_group_IT_number 123
_space_group_name_Hall '-P 4 2'
_cell_length_a 4.289
_cell_length_b 4.289
_cell_length_c 8.441
_cell_angle_alpha 90.00
_cell_angle_beta 90.00
_cell_angle_gamma 90.00
loop_
_atom_site_label
_atom_site_fract_x
_atom_site_fract_y
_atom_site_fract_z
_atom_site_occupancy
Ba1 0.000 0.000 0.000 1
Np1 0.500 0.500 0.261 1
N1 0.500 0.500 0.500 1
O1 0.000 0.500 0.230 1
O2 0.500 0.500 0.000 1
```